For KRbMnF6, a crystal structure in Alexandria, relaxed with PBE+U gives the computed powder diffraction line list in this record (Cu Kα (weighted mean of Kα1 and Kα2)).

Top 10 peaks for 2θ from 10° to 90°, in order of rising 2θ:
- 18.0 deg, I 89
- 29.6 deg, I 100
- 34.9 deg, I 26
- 36.5 deg, I 53
- 42.4 deg, I 65
- 52.5 deg, I 32
- 56.0 deg, I 18
- 61.5 deg, I 34
- 69.7 deg, I 21
- 85.0 deg, I 21

Structural model:
```
data_KRbMnF6
_chemical_formula_sum 'K1 Rb1 Mn1 F6'
_cell_length_a 6.035
_cell_length_b 6.035
_cell_length_c 6.035
_cell_angle_alpha 60.00
_cell_angle_beta 60.00
_cell_angle_gamma 60.00
_space_group_name_H-M_alt 'P 1'
_space_group_IT_number 1
_space_group_name_Hall 'P 1'
loop_
_atom_site_label
_atom_site_type_symbol
_atom_site_fract_x
_atom_site_fract_y
_atom_site_fract_z
K1 K 0.000 0.000 0.000
Rb1 Rb 0.500 0.500 0.500
Mn1 Mn 0.750 0.750 0.750
F1 F 0.533 0.533 0.967
F2 F 0.533 0.967 0.533
F3 F 0.533 0.967 0.967
F4 F 0.967 0.533 0.533
F5 F 0.967 0.533 0.967
F6 F 0.967 0.967 0.533
```